# AcLa14Sc
Computed powder diffractogram, copper Kα. Input: a cell relaxed with PBE.
Neutral-atom scattering factors, no anomalous dispersion.

Structure:
```
data_AcLa14Sc
_chemical_formula_sum 'Ac2 La28 Sc2'
_cell_length_a 10.477
_cell_length_b 10.494
_cell_length_c 10.503
_cell_angle_alpha 90.00
_cell_angle_beta 90.00
_cell_angle_gamma 90.00
_symmetry_space_group_name_H-M 'C m m m'
_symmetry_Int_Tables_number 65
_symmetry_space_group_name_Hall '-C 2 2'
loop_
_atom_site_label
_atom_site_type_symbol
_atom_site_fract_x
_atom_site_fract_y
_atom_site_fract_z
Ac1 Ac 0.000 0.000 0.000
La1 La 0.000 0.000 0.500
La2 La 0.000 0.258 0.248
La3 La 0.000 0.500 0.500
La4 La 0.241 0.500 0.248
La5 La 0.250 0.250 0.000
La6 La 0.250 0.250 0.500
Sc1 Sc 0.000 0.500 0.000
```

Main lines, in order of rising 2θ (10° ≤ 2θ ≤ 80°):
| 2θ/deg | I/Imax |
| --- | --- |
| 14.6 | 3 |
| 20.7 | 3 |
| 29.5 | 100 |
| 34.2 | 51 |
| 49.1 | 36 |
| 58.3 | 29 |
| 58.4 | 14 |
| 61.2 | 12 |
| 72.0 | 4 |
| 79.7 | 17 |

# Sm4Sc5Tl
Computed powder diffractogram, copper Kα. Input: a cell relaxed with PBE.
Neutral-atom scattering factors, no anomalous dispersion.

Structure:
```
data_Sm4Sc5Tl
_chemical_formula_sum 'Sm8 Sc10 Tl2'
_cell_length_a 10.266
_cell_length_b 10.266
_cell_length_c 5.542
_cell_angle_alpha 90.00
_cell_angle_beta 90.00
_cell_angle_gamma 90.00
_symmetry_space_group_name_H-M 'I 4 m m'
_symmetry_Int_Tables_number 107
_symmetry_space_group_name_Hall 'I 4 -2'
loop_
_atom_site_label
_atom_site_type_symbol
_atom_site_fract_x
_atom_site_fract_y
_atom_site_fract_z
Sm1 Sm 0.000 0.313 0.000
Sc1 Sc 0.000 0.000 0.221
Sc2 Sc 0.183 0.183 0.500
Tl1 Tl 0.000 0.000 0.734
```

Main lines, in order of rising 2θ (10° ≤ 2θ ≤ 80°):
| 2θ/deg | I/Imax |
| --- | --- |
| 18.2 | 20 |
| 25.2 | 62 |
| 27.5 | 26 |
| 30.7 | 100 |
| 34.6 | 25 |
| 37.2 | 49 |
| 41.0 | 28 |
| 53.5 | 21 |
| 56.5 | 21 |
| 56.6 | 20 |

# Pu2SiPd4
Computed powder diffractogram, copper Kα. Input: a cell relaxed with PBE.
Neutral-atom scattering factors, no anomalous dispersion.

Structure:
```
data_Pu2SiPd4
_chemical_formula_sum 'Pu8 Si4 Pd16'
_cell_length_a 8.404
_cell_length_b 8.450
_cell_length_c 8.566
_cell_angle_alpha 90.00
_cell_angle_beta 90.00
_cell_angle_gamma 90.00
_symmetry_space_group_name_H-M 'F m m m'
_symmetry_Int_Tables_number 69
_symmetry_space_group_name_Hall '-F 2 2'
loop_
_atom_site_label
_atom_site_type_symbol
_atom_site_fract_x
_atom_site_fract_y
_atom_site_fract_z
Pu1 Pu 0.250 0.250 0.250
Si1 Si 0.000 0.000 0.000
Pd1 Pd 0.000 0.000 0.273
Pd2 Pd 0.000 0.223 0.500
```

Main lines, in order of rising 2θ (10° ≤ 2θ ≤ 80°):
| 2θ/deg | I/Imax |
| --- | --- |
| 20.7 | 26 |
| 21.0 | 25 |
| 29.8 | 31 |
| 30.0 | 30 |
| 36.7 | 100 |
| 42.2 | 19 |
| 42.8 | 18 |
| 43.1 | 19 |
| 73.6 | 12 |
| 74.8 | 13 |

# Ho2Ga4Cu3Au
Computed powder diffractogram, copper Kα. Input: a cell relaxed with PBE.
Neutral-atom scattering factors, no anomalous dispersion.

Structure:
```
data_Ho2Ga4Cu3Au
_chemical_formula_sum 'Ho2 Ga4 Cu3 Au1'
_cell_length_a 4.156
_cell_length_b 4.156
_cell_length_c 10.286
_cell_angle_alpha 90.00
_cell_angle_beta 90.00
_cell_angle_gamma 90.00
_symmetry_space_group_name_H-M 'P -4 m 2'
_symmetry_Int_Tables_number 115
loop_
_symmetry_equiv_pos_as_xyz
'x,y,z'
'y,-x,-z'
'-x,-y,z'
'-y,x,-z'
'-x,y,z'
'-y,-x,-z'
'x,-y,z'
'y,x,-z'
loop_
_atom_site_label
_atom_site_type_symbol
_atom_site_fract_x
_atom_site_fract_y
_atom_site_fract_z
Ho1 Ho 0.000 0.500 0.246
Ga1 Ga 0.000 0.000 0.000
Ga2 Ga 0.000 0.500 0.644
Ga3 Ga 0.500 0.500 0.000
Cu1 Cu 0.000 0.500 0.871
Cu2 Cu 0.500 0.500 0.500
Au1 Au 0.000 0.000 0.500
```

Main lines, in order of rising 2θ (10° ≤ 2θ ≤ 80°):
| 2θ/deg | I/Imax |
| --- | --- |
| 23.1 | 13 |
| 33.9 | 44 |
| 35.2 | 100 |
| 43.6 | 47 |
| 49.4 | 22 |
| 56.3 | 21 |
| 62.7 | 12 |
| 63.3 | 16 |
| 68.0 | 16 |
| 74.5 | 22 |

# Nd3In2Pd6
Computed powder diffractogram, copper Kα. Input: a cell relaxed with PBE.
Neutral-atom scattering factors, no anomalous dispersion.

Structure:
```
data_Nd3In2Pd6
_chemical_formula_sum 'Nd12 In8 Pd24'
_cell_length_a 9.805
_cell_length_b 9.805
_cell_length_c 9.805
_cell_angle_alpha 90.00
_cell_angle_beta 90.00
_cell_angle_gamma 90.00
_symmetry_space_group_name_H-M 'I m -3 m'
_symmetry_Int_Tables_number 229
_symmetry_space_group_name_Hall '-I 4 2 3'
loop_
_atom_site_label
_atom_site_type_symbol
_atom_site_fract_x
_atom_site_fract_y
_atom_site_fract_z
Nd1 Nd 0.000 0.000 0.290
In1 In 0.250 0.250 0.250
Pd1 Pd 0.000 0.343 0.343
```

Main lines, in order of rising 2θ (10° ≤ 2θ ≤ 80°):
| 2θ/deg | I/Imax |
| --- | --- |
| 12.8 | 15 |
| 28.8 | 14 |
| 31.6 | 29 |
| 34.2 | 25 |
| 36.7 | 15 |
| 39.0 | 100 |
| 41.2 | 16 |
| 58.0 | 12 |
| 62.9 | 17 |
| 70.6 | 26 |

# Na3Cd2Ga5
Computed powder diffractogram, copper Kα. Input: a cell relaxed with PBE.
Neutral-atom scattering factors, no anomalous dispersion.

Structure:
```
data_Na3Cd2Ga5
_chemical_formula_sum 'Na12 Cd8 Ga20'
_cell_length_a 12.316
_cell_length_b 12.454
_cell_length_c 6.200
_cell_angle_alpha 90.00
_cell_angle_beta 90.00
_cell_angle_gamma 90.00
_symmetry_space_group_name_H-M 'I b a m'
_symmetry_Int_Tables_number 72
_symmetry_space_group_name_Hall '-I 2 2c'
loop_
_atom_site_label
_atom_site_type_symbol
_atom_site_fract_x
_atom_site_fract_y
_atom_site_fract_z
Na1 Na 0.000 0.000 0.250
Na2 Na 0.229 0.397 0.000
Cd1 Cd 0.161 0.152 0.000
Ga1 Ga 0.000 0.251 0.250
Ga2 Ga 0.000 0.500 0.250
Ga3 Ga 0.124 0.372 0.500
```

Main lines, in order of rising 2θ (10° ≤ 2θ ≤ 80°):
| 2θ/deg | I/Imax |
| --- | --- |
| 14.2 | 14 |
| 21.5 | 100 |
| 29.8 | 22 |
| 32.2 | 38 |
| 32.3 | 44 |
| 33.3 | 14 |
| 41.1 | 55 |
| 41.3 | 67 |
| 42.1 | 32 |
| 61.9 | 18 |

# GaAg3Au7
Computed powder diffractogram, copper Kα. Input: a cell relaxed with PBE.
Neutral-atom scattering factors, no anomalous dispersion.

Structure:
```
data_GaAg3Au7
_chemical_formula_sum 'Ga2 Ag6 Au14'
_cell_length_a 9.913
_cell_length_b 10.039
_cell_length_c 4.939
_cell_angle_alpha 90.00
_cell_angle_beta 119.24
_cell_angle_gamma 90.00
_symmetry_space_group_name_H-M 'C 1 2/m 1'
_symmetry_Int_Tables_number 12
loop_
_symmetry_equiv_pos_as_xyz
'x,y,z'
'-x,-y,-z'
'-x,y,-z'
'x,-y,z'
'x+1/2,y+1/2,z'
'-x+1/2,-y+1/2,-z'
'-x+1/2,y+1/2,-z'
'x+1/2,-y+1/2,z'
loop_
_atom_site_label
_atom_site_type_symbol
_atom_site_fract_x
_atom_site_fract_y
_atom_site_fract_z
Ga1 Ga 0.000 0.000 0.000
Ag1 Ag 0.000 0.277 0.500
Ag2 Ag 0.000 0.500 0.000
Au1 Au 0.000 0.000 0.500
Au2 Au 0.168 0.257 0.169
Au3 Au 0.196 0.500 0.675
```

Main lines, in order of rising 2θ (10° ≤ 2θ ≤ 80°):
| 2θ/deg | I/Imax |
| --- | --- |
| 27.3 | 27 |
| 28.7 | 28 |
| 29.0 | 31 |
| 35.8 | 99 |
| 36.4 | 100 |
| 38.7 | 29 |
| 40.3 | 87 |
| 40.6 | 78 |
| 51.9 | 77 |
| 76.1 | 27 |

# Ca2SmAg6
Computed powder diffractogram, copper Kα. Input: a cell relaxed with PBE.
Neutral-atom scattering factors, no anomalous dispersion.

Structure:
```
data_Ca2SmAg6
_chemical_formula_sum 'Ca2 Sm1 Ag6'
_cell_length_a 8.2772
_cell_length_b 8.2772
_cell_length_c 3.5952
_cell_angle_alpha 90.00
_cell_angle_beta 90.00
_cell_angle_gamma 120.00
_symmetry_space_group_name_H-M 'P 6/m m m'
_symmetry_Int_Tables_number 191
_symmetry_space_group_name_Hall '-P 6 2'
loop_
_atom_site_label
_atom_site_type_symbol
_atom_site_fract_x
_atom_site_fract_y
_atom_site_fract_z
Ca1 Ca 0.3333 0.6667 0.0000
Sm1 Sm 0.0000 0.0000 0.0000
Ag1 Ag 0.0000 0.3333 0.5000
```

Main lines, in order of rising 2θ (10° ≤ 2θ ≤ 80°):
| 2θ/deg | I/Imax |
| --- | --- |
| 12.3 | 16 |
| 24.8 | 24 |
| 33.0 | 100 |
| 37.6 | 85 |
| 45.6 | 24 |
| 50.8 | 12 |
| 50.9 | 28 |
| 64.9 | 32 |
| 65.0 | 25 |
| 67.9 | 14 |

# BaPr2H7
Computed powder diffractogram, copper Kα. Input: a cell relaxed with PBE.
Neutral-atom scattering factors, no anomalous dispersion.

Structure:
```
data_BaPr2H7
_chemical_formula_sum 'Ba2 Pr4 H14'
_cell_length_a 4.050
_cell_length_b 4.050
_cell_length_c 17.258
_cell_angle_alpha 90.00
_cell_angle_beta 90.00
_cell_angle_gamma 90.00
_symmetry_space_group_name_H-M 'I 4/m m m'
_symmetry_Int_Tables_number 139
_symmetry_space_group_name_Hall '-I 4 2'
loop_
_atom_site_label
_atom_site_type_symbol
_atom_site_fract_x
_atom_site_fract_y
_atom_site_fract_z
Ba1 Ba 0.000 0.000 0.000
Pr1 Pr 0.000 0.000 0.334
H1 H 0.000 0.000 0.500
H2 H 0.000 0.500 0.103
H3 H 0.000 0.500 0.250
```

Main lines, in order of rising 2θ (10° ≤ 2θ ≤ 80°):
| 2θ/deg | I/Imax |
| --- | --- |
| 26.9 | 100 |
| 31.1 | 17 |
| 31.2 | 33 |
| 44.7 | 26 |
| 44.8 | 13 |
| 52.8 | 15 |
| 53.0 | 31 |
| 55.5 | 13 |
| 71.7 | 12 |
| 74.0 | 11 |

# NaSe5
Computed powder diffractogram, copper Kα. Input: a cell relaxed with PBE.
Neutral-atom scattering factors, no anomalous dispersion.

Structure:
```
data_NaSe5
_chemical_formula_sum 'Na2 Se10'
_cell_length_a 4.151
_cell_length_b 10.228
_cell_length_c 8.386
_cell_angle_alpha 90.00
_cell_angle_beta 95.71
_cell_angle_gamma 90.00
_symmetry_space_group_name_H-M 'P 1 21/m 1'
_symmetry_Int_Tables_number 11
loop_
_symmetry_equiv_pos_as_xyz
'x,y,z'
'-x,-y,-z'
'-x,y+1/2,-z'
'x,-y+1/2,z'
loop_
_atom_site_label
_atom_site_type_symbol
_atom_site_fract_x
_atom_site_fract_y
_atom_site_fract_z
Na1 Na 0.084 0.250 0.149
Se1 Se 0.241 0.022 0.926
Se2 Se 0.278 0.750 0.453
Se3 Se 0.279 0.086 0.470
```

Main lines, in order of rising 2θ (10° ≤ 2θ ≤ 80°):
| 2θ/deg | I/Imax |
| --- | --- |
| 10.6 | 30 |
| 17.3 | 27 |
| 20.4 | 38 |
| 21.3 | 100 |
| 28.9 | 34 |
| 33.9 | 29 |
| 34.1 | 53 |
| 36.5 | 23 |
| 39.3 | 29 |
| 41.8 | 23 |

# Th4SiBiSb2
Computed powder diffractogram, copper Kα. Input: a cell relaxed with PBE.
Neutral-atom scattering factors, no anomalous dispersion.

Structure:
```
data_Th4SiBiSb2
_chemical_formula_sum 'Th4 Si1 Bi1 Sb2'
_cell_length_a 7.728
_cell_length_b 4.439
_cell_length_c 7.816
_cell_angle_alpha 90.00
_cell_angle_beta 109.08
_cell_angle_gamma 90.00
_symmetry_space_group_name_H-M 'P 1 2/m 1'
_symmetry_Int_Tables_number 10
loop_
_symmetry_equiv_pos_as_xyz
'x,y,z'
'-x,-y,-z'
'-x,y,-z'
'x,-y,z'
loop_
_atom_site_label
_atom_site_type_symbol
_atom_site_fract_x
_atom_site_fract_y
_atom_site_fract_z
Th1 Th 0.231 0.000 0.226
Th2 Th 0.243 0.500 0.769
Si1 Si 0.000 0.500 0.000
Bi1 Bi 0.000 0.000 0.500
Sb1 Sb 0.500 0.000 0.000
Sb2 Sb 0.500 0.500 0.500
```

Main lines, in order of rising 2θ (10° ≤ 2θ ≤ 80°):
| 2θ/deg | I/Imax |
| --- | --- |
| 24.5 | 8 |
| 28.2 | 100 |
| 40.0 | 12 |
| 40.1 | 25 |
| 40.5 | 26 |
| 40.7 | 13 |
| 50.2 | 14 |
| 58.3 | 12 |
| 65.8 | 10 |
| 66.3 | 11 |

# KNa6
Computed powder diffractogram, copper Kα. Input: a cell relaxed with PBE.
Neutral-atom scattering factors, no anomalous dispersion.

Structure:
```
data_KNa6
_chemical_formula_sum 'K4 Na24'
_cell_length_a 11.464
_cell_length_b 7.020
_cell_length_c 14.845
_cell_angle_alpha 90.00
_cell_angle_beta 90.00
_cell_angle_gamma 90.00
_symmetry_space_group_name_H-M 'P n m a'
_symmetry_Int_Tables_number 62
loop_
_symmetry_equiv_pos_as_xyz
'x,y,z'
'-x,-y,-z'
'-x+1/2,-y,z+1/2'
'x+1/2,y,-z+1/2'
'x+1/2,-y+1/2,-z+1/2'
'-x+1/2,y+1/2,z+1/2'
'-x,y+1/2,-z'
'x,-y+1/2,z'
loop_
_atom_site_label
_atom_site_type_symbol
_atom_site_fract_x
_atom_site_fract_y
_atom_site_fract_z
K1 K 0.245 0.250 0.067
Na1 Na 0.051 0.750 0.088
Na2 Na 0.064 0.007 0.308
Na3 Na 0.098 0.250 0.518
Na4 Na 0.141 0.750 0.856
Na5 Na 0.189 0.250 0.754
```

Main lines, in order of rising 2θ (10° ≤ 2θ ≤ 80°):
| 2θ/deg | I/Imax |
| --- | --- |
| 25.2 | 53 |
| 25.4 | 30 |
| 27.0 | 84 |
| 27.2 | 100 |
| 30.5 | 36 |
| 31.1 | 31 |
| 31.4 | 38 |
| 31.8 | 30 |
| 32.2 | 56 |
| 45.9 | 29 |

# LaTb2Dy3
Computed powder diffractogram, copper Kα. Input: a cell relaxed with PBE.
Neutral-atom scattering factors, no anomalous dispersion.

Structure:
```
data_LaTb2Dy3
_chemical_formula_sum 'La4 Tb8 Dy12'
_cell_length_a 3.603
_cell_length_b 18.673
_cell_length_c 11.635
_cell_angle_alpha 90.00
_cell_angle_beta 90.00
_cell_angle_gamma 90.00
_symmetry_space_group_name_H-M 'C m c m'
_symmetry_Int_Tables_number 63
_symmetry_space_group_name_Hall '-C 2c 2'
loop_
_atom_site_label
_atom_site_type_symbol
_atom_site_fract_x
_atom_site_fract_y
_atom_site_fract_z
La1 La 0.000 0.221 0.250
Tb1 Tb 0.000 0.000 0.000
Tb2 Tb 0.000 0.446 0.750
Dy1 Dy 0.000 0.109 0.750
Dy2 Dy 0.000 0.335 0.004
```

Main lines, in order of rising 2θ (10° ≤ 2θ ≤ 80°):
| 2θ/deg | I/Imax |
| --- | --- |
| 28.6 | 9 |
| 29.7 | 40 |
| 30.7 | 34 |
| 32.6 | 100 |
| 37.0 | 22 |
| 48.8 | 10 |
| 50.8 | 17 |
| 55.8 | 22 |
| 60.5 | 30 |
| 61.6 | 11 |